This entry pairs a crystal structure of Mn2CuGeO6 with its simulated powder XRD pattern. Radiation: Cu Ka. Structure: a GGA+U-relaxed structure.
Neutral-atom scattering factors, no anomalous dispersion.

The 6 most intense peaks (2θ from 10° to 90°), by angle:
- hkl 1 0 1, d 2.841, 31.49 deg, I = 100
- hkl 1 1 -1, d 2.764, 32.39 deg, I = 83
- hkl 0 1 2, d 2.680, 33.43 deg, I = 70
- hkl -1 1 1, d 2.567, 34.95 deg, I = 87
- hkl 1 2 1, d 2.535, 35.41 deg, I = 68
- hkl 2 1 0, d 2.497, 35.97 deg, I = 66

```
data_Mn2CuGeO6
_cell_length_a 4.9954
_cell_length_b 5.0793
_cell_length_c 5.4128
_cell_angle_alpha 64.35
_cell_angle_beta 89.17
_cell_angle_gamma 61.48
_space_group_name_H-M_alt 'P 1'
_space_group_IT_number 1
_space_group_name_Hall 'P 1'
loop_
_atom_site_label
_atom_site_fract_x
_atom_site_fract_y
_atom_site_fract_z
Mn1 0.0000 0.0000 0.0000
Mn2 0.4760 0.0416 0.4563
Cu1 0.2731 0.4564 0.8515
Ge1 0.7874 0.4188 0.3964
O1 0.0748 0.2411 0.1918
O2 0.1844 0.2262 0.6678
O3 0.4250 0.4949 0.1952
O4 0.5661 0.5707 0.6549
O5 0.7110 0.8622 0.2165
O6 0.8402 0.9755 0.6550
```